No. 1
For LaYNp, a crystal structure in Alexandria, relaxed with PBE gives the calculated powder X-ray diffraction pattern in this record (CuKα).
No peak broadening, texture or thermal motion is included.

Largest 10 diffraction maxima, low angle first, 2θ = 10–90°:
- d = 7.986 Å, 11.1°, intensity 100
- d = 6.219 Å, 14.2°, intensity 63
- d = 5.674 Å, 15.6°, intensity 65
- d = 2.968 Å, 30.1°, intensity 56
- d = 2.842 Å, 31.5°, intensity 54
- d = 2.716 Å, 33.0°, intensity 68
- d = 2.539 Å, 35.4°, intensity 63
- d = 2.321 Å, 38.8°, intensity 52
- d = 2.258 Å, 39.9°, intensity 53
- d = 1.739 Å, 52.6°, intensity 44

Structural model:
Unit cell a=16.5412 b=3.5744 c=6.4405 alpha=90.00 beta=105.08 gamma=90.00
Space group C2/m (No. 12)
Symmetry-distinct sites (fractional):
La (0.0600, 0.0000, 0.2980) [4 per cell]
Y (0.1524, 0.5000, 0.8417) [4 per cell]
Np (0.2259, 0.5000, 0.3779) [4 per cell]

No. 2
For YNp3Sb4, a crystal structure in Alexandria, relaxed with PBE gives the calculated powder X-ray diffraction pattern in this record (CuKα).
No peak broadening, texture or thermal motion is included.

Largest 10 diffraction maxima, low angle first, 2θ = 10–90°:
- d = 3.589 Å, 24.8°, intensity 10
- d = 3.108 Å, 28.7°, intensity 100
- d = 2.198 Å, 41.1°, intensity 77
- d = 1.874 Å, 48.6°, intensity 6
- d = 1.794 Å, 50.9°, intensity 28
- d = 1.554 Å, 59.5°, intensity 13
- d = 1.390 Å, 67.4°, intensity 30
- d = 1.389 Å, 67.4°, intensity 6
- d = 1.269 Å, 74.8°, intensity 20
- d = 1.268 Å, 74.9°, intensity 7

Structural model:
Unit cell a=7.6154 b=8.8000 c=7.6037 alpha=90.00 beta=109.48 gamma=90.00
Space group P2/c (No. 13)
Symmetry-distinct sites (fractional):
Y (0.0000, 0.1248, 0.2500) [2 per cell]
Np (0.0000, 0.3739, 0.7500) [2 per cell]
Np (0.5000, 0.1242, 0.7500) [2 per cell]
Np (0.5000, 0.3742, 0.2500) [2 per cell]
Sb (0.2493, 0.3752, 0.5006) [4 per cell]
Sb (0.2501, 0.1247, 0.9989) [4 per cell]

No. 3
For Sr2Li2Nb4O13, a crystal structure in Alexandria, relaxed with PBE gives the calculated powder X-ray diffraction pattern in this record (CuKα).
No peak broadening, texture or thermal motion is included.

Largest 10 diffraction maxima, low angle first, 2θ = 10–90°:
- d = 8.653 Å, 10.2°, intensity 68
- d = 4.326 Å, 20.5°, intensity 23
- d = 3.976 Å, 22.4°, intensity 45
- d = 3.465 Å, 25.7°, intensity 73
- d = 3.111 Å, 28.7°, intensity 31
- d = 2.830 Å, 31.6°, intensity 69
- d = 2.773 Å, 32.3°, intensity 100
- d = 2.001 Å, 45.3°, intensity 60
- d = 1.733 Å, 52.8°, intensity 21
- d = 1.623 Å, 56.7°, intensity 41

Structural model:
Unit cell a=4.0023 b=4.0023 c=34.6112 alpha=90.00 beta=90.00 gamma=90.00
Space group I4/mmm (No. 139)
Symmetry-distinct sites (fractional):
Sr (0.0000, 0.0000, 0.1163) [4 per cell]
Li (0.0000, 0.5000, 0.2500) [4 per cell]
Nb (0.0000, 0.0000, 0.3219) [4 per cell]
Nb (0.0000, 0.0000, 0.4439) [4 per cell]
O (0.0000, 0.0000, 0.2669) [4 per cell]
O (0.0000, 0.0000, 0.3834) [4 per cell]
O (0.0000, 0.0000, 0.5000) [2 per cell]
O (0.0000, 0.5000, 0.0624) [8 per cell]
O (0.0000, 0.5000, 0.1724) [8 per cell]

No. 4
For MnReAg, a crystal structure in Alexandria, relaxed with PBE gives the calculated powder X-ray diffraction pattern in this record (CuKα).
No peak broadening, texture or thermal motion is included.

Largest 10 diffraction maxima, low angle first, 2θ = 10–90°:
- d = 6.756 Å, 13.1°, intensity 30
- d = 3.378 Å, 26.4°, intensity 16
- d = 2.479 Å, 36.2°, intensity 17
- d = 2.252 Å, 40.0°, intensity 24
- d = 2.244 Å, 40.2°, intensity 27
- d = 2.200 Å, 41.0°, intensity 100
- d = 1.590 Å, 58.0°, intensity 16
- d = 1.290 Å, 73.4°, intensity 13
- d = 1.287 Å, 73.6°, intensity 17
- d = 1.262 Å, 75.3°, intensity 16

Structural model:
Unit cell a=3.0484 b=4.4881 c=13.5114 alpha=90.00 beta=90.00 gamma=90.00
Space group Fmm2 (No. 42)
Symmetry-distinct sites (fractional):
Mn (0.0000, 0.0000, 0.0000) [4 per cell]
Re (0.0000, 0.0000, 0.3564) [4 per cell]
Ag (0.0000, 0.0000, 0.6713) [4 per cell]